(1)
This entry pairs a crystal structure of LiNiPO4F with its calculated X-ray powder pattern. Radiation: a wavelength of 1.5418 Å. Structure: a crystal structure in Alexandria, relaxed with PBE+U.
Kinematic intensities with the Lorentz-polarization factor, no thermal factor.

Most intense lines, 2θ from 15° to 90°, low angle first:
18.01 deg, intensity 89; 18.90 deg, intensity 100; 25.68 deg, intensity 30; 26.60 deg, intensity 97; 27.18 deg, intensity 50; 30.12 deg, intensity 76; 35.25 deg, intensity 49; 35.43 deg, intensity 35; 55.98 deg, intensity 24; 62.82 deg, intensity 26

Crystal structure
Cell: 5.146 5.436 7.289 Å, 107.26 106.00 101.90°
Positions (direct):
Li: 0.197 0.325 0.191
Li: 0.803 0.675 0.809
Ni: 0.500 0.000 0.000
Ni: 0.500 0.000 0.500
P: 0.203 0.340 0.749
P: 0.797 0.660 0.251
O: 0.082 0.810 0.442
O: 0.180 0.626 0.845
O: 0.229 0.199 0.905
O: 0.452 0.350 0.669
O: 0.548 0.650 0.331
O: 0.771 0.801 0.095
O: 0.820 0.374 0.155
O: 0.918 0.190 0.558
F: 0.378 0.073 0.242
F: 0.622 0.927 0.758


(2)
This entry pairs a crystal structure of Li2NiPO4F with its calculated X-ray powder pattern. Radiation: a wavelength of 1.5418 Å. Structure: a crystal structure in Alexandria, relaxed with PBE+U.
Kinematic intensities with the Lorentz-polarization factor, no thermal factor.

Most intense lines, 2θ from 15° to 90°, low angle first:
17.87 deg, intensity 58; 26.18 deg, intensity 19; 26.54 deg, intensity 27; 26.71 deg, intensity 100; 27.82 deg, intensity 59; 35.80 deg, intensity 33; 37.18 deg, intensity 18; 39.81 deg, intensity 18; 43.89 deg, intensity 24; 53.88 deg, intensity 19

Crystal structure
Cell: 5.336 5.339 7.386 Å, 108.49 108.51 94.39°
Positions (direct):
Li: 0.000 0.000 0.000
Li: 0.047 0.309 0.404
Li: 0.302 0.566 0.217
Li: 0.618 0.616 0.624
Ni: 0.521 0.088 0.057
Ni: 0.525 0.093 0.564
P: 0.173 0.442 0.810
P: 0.873 0.740 0.311
O: 0.174 0.799 0.448
O: 0.212 0.258 0.938
O: 0.237 0.736 0.966
O: 0.359 0.404 0.683
O: 0.672 0.775 0.426
O: 0.817 0.438 0.174
O: 0.837 0.939 0.194
O: 0.879 0.374 0.652
F: 0.383 0.228 0.310
F: 0.646 0.969 0.811


(3)
This entry pairs a crystal structure of LiPmNiF6 with its calculated X-ray powder pattern. Radiation: a wavelength of 1.5418 Å. Structure: a crystal structure in Alexandria, relaxed with PBE+U.
Kinematic intensities with the Lorentz-polarization factor, no thermal factor.

Most intense lines, 2θ from 15° to 90°, low angle first:
18.07 deg, intensity 28; 19.97 deg, intensity 89; 25.25 deg, intensity 100; 31.23 deg, intensity 35; 32.73 deg, intensity 61; 41.51 deg, intensity 31; 49.45 deg, intensity 70; 51.84 deg, intensity 20; 62.64 deg, intensity 39; 85.55 deg, intensity 20

Crystal structure
Cell: 4.988 4.988 9.816 Å, 90.00 90.00 90.00°
Positions (direct):
Li: 0.000 0.000 0.000
Li: 0.500 0.500 0.500
Pm: 0.000 0.000 0.663
Pm: 0.500 0.500 0.163
Ni: 0.000 0.000 0.329
Ni: 0.500 0.500 0.829
F: 0.180 0.180 0.167
F: 0.201 0.201 0.481
F: 0.213 0.213 0.836
F: 0.287 0.713 0.336
F: 0.299 0.701 0.981
F: 0.320 0.680 0.667
F: 0.680 0.320 0.667
F: 0.701 0.299 0.981
F: 0.713 0.287 0.336
F: 0.787 0.787 0.836
F: 0.799 0.799 0.481
F: 0.820 0.820 0.167


(4)
This entry pairs a crystal structure of LiNiPtF6 with its calculated X-ray powder pattern. Radiation: a wavelength of 1.5418 Å. Structure: a crystal structure in Alexandria, relaxed with PBE+U.
Kinematic intensities with the Lorentz-polarization factor, no thermal factor.

Most intense lines, 2θ from 15° to 90°, low angle first:
18.12 deg, intensity 32; 21.03 deg, intensity 100; 26.93 deg, intensity 77; 32.65 deg, intensity 33; 33.47 deg, intensity 59; 42.82 deg, intensity 17; 44.24 deg, intensity 30; 51.88 deg, intensity 56; 55.52 deg, intensity 15; 66.40 deg, intensity 18

Crystal structure
Cell: 4.681 4.681 9.793 Å, 90.00 90.00 90.00°
Positions (direct):
Li: 0.000 0.000 0.000
Li: 0.500 0.500 0.500
Ni: 0.000 0.000 0.659
Ni: 0.500 0.500 0.159
Pt: 0.000 0.000 0.328
Pt: 0.500 0.500 0.828
F: 0.198 0.198 0.502
F: 0.199 0.199 0.826
F: 0.200 0.200 0.156
F: 0.300 0.700 0.656
F: 0.301 0.699 0.326
F: 0.302 0.698 0.002
F: 0.698 0.302 0.002
F: 0.699 0.301 0.326
F: 0.700 0.300 0.656
F: 0.800 0.800 0.156
F: 0.801 0.801 0.826
F: 0.802 0.802 0.502


(5)
This entry pairs a crystal structure of Rb3Li2NiF9 with its calculated X-ray powder pattern. Radiation: a wavelength of 1.5418 Å. Structure: a crystal structure in Alexandria, relaxed with PBE+U.
Kinematic intensities with the Lorentz-polarization factor, no thermal factor.

Most intense lines, 2θ from 15° to 90°, low angle first:
17.08 deg, intensity 30; 20.75 deg, intensity 68; 29.22 deg, intensity 98; 29.80 deg, intensity 90; 35.62 deg, intensity 29; 36.60 deg, intensity 80; 42.23 deg, intensity 100; 52.54 deg, intensity 36; 60.59 deg, intensity 28; 61.90 deg, intensity 28

Crystal structure
Cell: 5.996 5.996 7.561 Å, 90.00 90.00 120.00°
Positions (direct):
Rb: 0.000 0.000 0.000
Rb: 0.333 0.667 0.676
Rb: 0.667 0.333 0.324
Li: 0.333 0.667 0.082
Li: 0.667 0.333 0.918
Ni: 0.000 0.000 0.500
F: 0.000 0.500 0.000
F: 0.142 0.285 0.362
F: 0.142 0.858 0.362
F: 0.285 0.142 0.638
F: 0.500 0.000 0.000
F: 0.500 0.500 0.000
F: 0.715 0.858 0.362
F: 0.858 0.142 0.638
F: 0.858 0.715 0.638


(6)
This entry pairs a crystal structure of Rb2Li2NiF6 with its calculated X-ray powder pattern. Radiation: a wavelength of 1.5418 Å. Structure: a crystal structure in Alexandria, relaxed with PBE+U.
Kinematic intensities with the Lorentz-polarization factor, no thermal factor.

Most intense lines, 2θ from 15° to 90°, low angle first:
23.61 deg, intensity 100; 28.52 deg, intensity 15; 32.87 deg, intensity 34; 35.94 deg, intensity 35; 40.87 deg, intensity 21; 44.06 deg, intensity 70; 47.65 deg, intensity 13; 53.41 deg, intensity 19; 58.68 deg, intensity 21; 69.25 deg, intensity 25

Crystal structure
Cell: 5.450 5.450 6.260 Å, 90.00 90.00 120.00°
Positions (direct):
Rb: 0.333 0.667 0.000
Rb: 0.667 0.333 0.000
Li: 0.333 0.667 0.500
Li: 0.667 0.333 0.500
Ni: 0.000 0.000 0.500
F: 0.000 0.323 0.328
F: 0.000 0.677 0.672
F: 0.323 0.000 0.328
F: 0.323 0.323 0.672
F: 0.677 0.000 0.672
F: 0.677 0.677 0.328